No. 1
Starting from a cell relaxed with PBE, the PXRD pattern of PmY8Tm3 was computed for λ = 1.5418 Å (Cu Kα).

Top 6 peaks for 2θ = 5–70°, low angle first:
2θ 17.7, d 4.999, I = 27; 2θ 27.2, d 3.273, I = 63; 2θ 30.8, d 2.899, I = 50; 2θ 31.3, d 2.862, I = 89; 2θ 35.2, d 2.549, I = 100; 2θ 41.6, d 2.170, I = 40

Cell and atoms:
Cell: 6.756 6.756 9.873 Å, 90.00 90.00 118.21°
Sites, in units of the cell vectors:
Pm: 0.000 0.000 0.000
Y: 0.250 0.250 0.314
Y: 0.250 0.250 0.686
Y: 0.253 0.747 0.189
Y: 0.253 0.747 0.811
Y: 0.747 0.253 0.189
Y: 0.747 0.253 0.811
Y: 0.750 0.750 0.314
Y: 0.750 0.750 0.686
Tm: 0.000 0.500 0.500
Tm: 0.500 0.000 0.500
Tm: 0.500 0.500 0.000



No. 2
Starting from a cell relaxed with PBE, the PXRD pattern of NdCu2Pt8 was computed for λ = 1.5418 Å (Cu Kα).

Top 6 peaks for 2θ = 5–70°, low angle first:
2θ 10.5, d 8.388, I = 18; 2θ 21.2, d 4.194, I = 58; 2θ 34.1, d 2.629, I = 43; 2θ 40.5, d 2.228, I = 100; 2θ 49.0, d 1.859, I = 33; 2θ 54.0, d 1.700, I = 20

Cell and atoms:
Cell: 5.258 5.258 8.388 Å, 90.00 90.00 90.00°
Sites, in units of the cell vectors:
Nd: 0.000 0.000 0.000
Cu: 0.000 0.500 0.500
Cu: 0.500 0.000 0.500
Pt: 0.252 0.252 0.281
Pt: 0.252 0.252 0.719
Pt: 0.252 0.748 0.281
Pt: 0.252 0.748 0.719
Pt: 0.748 0.252 0.281
Pt: 0.748 0.252 0.719
Pt: 0.748 0.748 0.281
Pt: 0.748 0.748 0.719



No. 3
Starting from a cell relaxed with PBE, the PXRD pattern of CaPrGaRh was computed for λ = 1.5418 Å (Cu Kα).

Top 6 peaks for 2θ = 5–70°, low angle first:
2θ 15.3, d 5.778, I = 41; 2θ 31.5, d 2.840, I = 100; 2θ 38.1, d 2.361, I = 25; 2θ 38.6, d 2.332, I = 55; 2θ 43.1, d 2.098, I = 18; 2θ 44.2, d 2.048, I = 16

Cell and atoms:
Cell: 4.095 6.147 6.147 Å, 39.91 90.00 90.00°
Sites, in units of the cell vectors:
Ca: 0.000 0.000 0.000
Pr: 0.500 0.286 0.286
Ga: 0.500 0.581 0.581
Rh: 0.000 0.719 0.719